Computed PXRD pattern of Li3FeF6 for Cu Kα (weighted mean of Kα1 and Kα2), from a cell relaxed with PBE+U.
Lines closer than 0.1° are merged.

Structure:
abc: 5.1246 5.1246 9.6071
angles: 90.00 90.00 120.00
Space group P-31c (No. 163)
Symmetry-distinct sites (fractional):
Li (0.0000, 0.0000, 0.2500)
Li (0.3333, 0.6667, 0.0531)
Fe (0.3333, 0.6667, 0.7500)
F (0.0287, 0.3557, 0.6308)

Most intense lines, 10° ≤ 2θ ≤ 90°, by angle:
| index | d_spacing | Position (°2θ) | intensity |
| --- | --- | --- | --- |
| 0 0 2 | 4.804 | 18.5 | 34 |
| 1 0 0 | 4.438 | 20.0 | 22 |
| 1 0 1 | 4.029 | 22.1 | 100 |
| 1 0 3 | 2.597 | 34.5 | 26 |
| 1 1 2 | 2.261 | 39.9 | 77 |
| 2 0 3 | 1.824 | 50.0 | 15 |
| 1 1 4 | 1.752 | 52.2 | 39 |
| 2 1 3 | 1.486 | 62.5 | 13 |
| 3 0 0 | 1.479 | 62.8 | 21 |
| 2 -1 6 | 1.358 | 69.2 | 14 |